Record 1
Starting from a PBE-relaxed structure, the X-ray powder pattern of ThTe was simulated for Cu Kα (weighted mean of Kα1 and Kα2).
No peak broadening, texture or thermal motion is included.

Top 7 peaks for 5 to 70 degrees two-theta, sorted by position:
Position (°2θ)  d [Å]  intensity
23.09  3.852  9
32.89  2.723  100
40.57  2.224  3
47.20  1.926  18
53.18  1.722  5
58.72  1.572  39
68.96  1.362  12

```
ThTe
1.0
3.8516 0.0000 0.0000
0.0000 3.8516 0.0000
0.0000 0.0000 3.8516
Th Te
1 1
Direct
0.0000 0.0000 0.0000
0.5000 0.5000 0.5000
```

Record 2
Starting from a PBE-relaxed structure, the X-ray powder pattern of Th7Te12 was simulated for Cu Kα (weighted mean of Kα1 and Kα2).
No peak broadening, texture or thermal motion is included.

Top 10 peaks for 5 to 70 degrees two-theta, sorted by position:
Position (°2θ)  d [Å]  intensity
21.58  4.119  41
29.86  2.992  100
32.09  2.789  52
35.19  2.550  34
36.18  2.483  34
37.83  2.378  56
41.47  2.178  30
56.84  1.620  30
57.38  1.606  34
68.51  1.370  21

```
Th7Te12
1.0
12.5830 0.0000 0.0000
-6.2915 10.8972 0.0000
0.0000 0.0000 4.3550
Th Te
7 12
Direct
0.0000 0.0000 0.0000
0.1631 0.4515 0.5000
0.2885 0.8369 0.5000
0.4382 0.2777 0.0000
0.5485 0.7115 0.5000
0.7223 0.1605 0.0000
0.8395 0.5618 0.0000
0.0077 0.2549 0.0000
0.1334 0.6251 0.0000
0.2169 0.2135 0.5000
0.2472 0.9923 0.0000
0.3749 0.5083 0.0000
0.4917 0.8666 0.0000
0.5219 0.1365 0.5000
0.6146 0.4781 0.5000
0.7451 0.7528 0.0000
0.7865 0.0034 0.5000
0.8635 0.3854 0.5000
0.9966 0.7831 0.5000
```

Record 3
Starting from a PBE-relaxed structure, the X-ray powder pattern of ThTe3 was simulated for Cu Kα (weighted mean of Kα1 and Kα2).
No peak broadening, texture or thermal motion is included.

Top 10 peaks for 5 to 70 degrees two-theta, sorted by position:
Position (°2θ)  d [Å]  intensity
8.24  10.729  40
15.50  5.716  16
17.43  5.087  16
26.06  3.420  100
31.04  2.881  18
31.30  2.858  16
33.88  2.646  16
35.32  2.541  42
36.72  2.447  16
40.66  2.219  22

```
ThTe3
1.0
6.2653 0.0000 0.0000
0.0000 4.4383 0.0000
-1.4493 0.0000 10.7288
Th Te
2 6
Direct
0.2152 0.2500 0.3458
0.7848 0.7500 0.6542
0.0503 0.2500 0.8242
0.2641 0.7500 0.5616
0.3940 0.7500 0.1703
0.6060 0.2500 0.8297
0.7359 0.2500 0.4384
0.9497 0.7500 0.1758
```

Record 4
Starting from a PBE-relaxed structure, the X-ray powder pattern of Th4UTe5 was simulated for Cu Kα (weighted mean of Kα1 and Kα2).
No peak broadening, texture or thermal motion is included.

Top 10 peaks for 5 to 70 degrees two-theta, sorted by position:
Position (°2θ)  d [Å]  intensity
23.13  3.846  3
23.25  3.826  6
33.05  2.710  100
40.78  2.213  3
47.27  1.923  6
47.53  1.913  12
58.92  1.567  13
59.09  1.563  26
69.28  1.356  8
69.49  1.353  4

```
Th4UTe5
1.0
3.8260 0.0000 0.0000
0.0000 3.8260 0.0000
0.0000 0.0000 19.2300
Th U Te
4 1 5
Direct
0.0000 0.0000 0.1000
0.0000 0.0000 0.3004
0.0000 0.0000 0.6996
0.0000 0.0000 0.9000
0.0000 0.0000 0.5000
0.5000 0.5000 0.0000
0.5000 0.5000 0.2000
0.5000 0.5000 0.4010
0.5000 0.5000 0.5990
0.5000 0.5000 0.8000
```

Record 5
Starting from a PBE-relaxed structure, the X-ray powder pattern of Ti2Te3 was simulated for Cu Kα (weighted mean of Kα1 and Kα2).
No peak broadening, texture or thermal motion is included.

Top 10 peaks for 5 to 70 degrees two-theta, sorted by position:
Position (°2θ)  d [Å]  intensity
26.28  3.391  5
28.20  3.165  14
29.89  2.989  100
38.93  2.314  36
46.38  1.958  29
50.98  1.791  21
55.16  1.665  12
56.16  1.638  16
58.31  1.582  4
62.10  1.495  8

```
Ti2Te3
1.0
3.3910 1.9578 6.3299
-3.3910 1.9578 6.3299
0.0000 -3.9156 6.3299
Ti Te
4 6
Direct
0.0000 0.0000 0.0000
0.1598 0.1598 0.1598
0.5000 0.5000 0.5000
0.8402 0.8402 0.8402
0.0768 0.4257 0.7357
0.2643 0.9232 0.5743
0.4257 0.7357 0.0768
0.5743 0.2643 0.9232
0.7357 0.0768 0.4257
0.9232 0.5743 0.2643
```

Record 6
Starting from a PBE-relaxed structure, the X-ray powder pattern of TiTe was simulated for Cu Kα (weighted mean of Kα1 and Kα2).
No peak broadening, texture or thermal motion is included.

Top 10 peaks for 5 to 70 degrees two-theta, sorted by position:
Position (°2θ)  d [Å]  intensity
23.22  3.831  15
28.43  3.140  46
30.78  2.905  13
37.02  2.428  100
47.47  1.915  11
50.34  1.813  27
56.13  1.639  9
56.26  1.635  14
58.82  1.570  6
64.10  1.453  19

```
TiTe
1.0
3.6256 0.0000 0.0000
-1.8128 3.1398 0.0000
0.0000 0.0000 7.6618
Ti Te
2 2
Direct
0.3333 0.6667 0.2500
0.6667 0.3333 0.7500
0.0000 0.0000 0.0000
0.0000 0.0000 0.5000
```

Record 7
Starting from a PBE-relaxed structure, the X-ray powder pattern of Ti2Te3 was simulated for Cu Kα (weighted mean of Kα1 and Kα2).
No peak broadening, texture or thermal motion is included.

Top 10 peaks for 5 to 70 degrees two-theta, sorted by position:
Position (°2θ)  d [Å]  intensity
28.00  3.186  24
29.39  3.039  21
29.56  3.022  40
30.04  2.975  100
30.14  2.965  19
38.35  2.347  14
38.89  2.316  15
39.03  2.308  27
46.03  1.972  34
47.25  1.924  17

```
Ti2Te3
1.0
7.5150 0.0000 0.0000
-2.2105 7.5817 0.0000
-2.3510 -0.8426 8.8943
Ti Te
8 12
Direct
0.0046 0.2338 0.0154
0.3335 0.8358 0.8366
0.3361 0.1106 0.3288
0.3477 0.5613 0.3482
0.6523 0.4387 0.6518
0.6639 0.8894 0.6712
0.6665 0.1642 0.1634
0.9954 0.7662 0.9846
0.0493 0.5080 0.8027
0.0668 0.0252 0.7937
0.2587 0.3140 0.5364
0.2733 0.8184 0.5222
0.3885 0.8378 0.1479
0.4027 0.3574 0.1255
0.5973 0.6426 0.8745
0.6115 0.1622 0.8521
0.7267 0.1816 0.4778
0.7413 0.6860 0.4636
0.9332 0.9748 0.2063
0.9507 0.4920 0.1973
```

Record 8
Starting from a PBE-relaxed structure, the X-ray powder pattern of TiTe2 was simulated for Cu Kα (weighted mean of Kα1 and Kα2).
No peak broadening, texture or thermal motion is included.

Top 10 peaks for 5 to 70 degrees two-theta, sorted by position:
Position (°2θ)  d [Å]  intensity
26.14  3.408  20
27.25  3.273  8
30.29  2.951  100
38.12  2.361  32
48.15  1.890  24
48.79  1.867  26
53.79  1.704  6
55.61  1.653  15
57.95  1.591  16
63.01  1.475  7

```
TiTe2
1.0
3.7795 0.0000 0.0000
-1.8897 3.2731 0.0000
0.0000 0.0000 6.8169
Ti Te
1 2
Direct
0.0000 0.0000 0.0000
0.3333 0.6667 0.2528
0.6667 0.3333 0.7472
```

Question: What is the formula in the sixth record?
Answer: TiTe

What did the fifth record say?
Starting from a PBE-relaxed structure, the X-ray powder pattern of Ti2Te3 was simulated for Cu Kα (weighted mean of Kα1 and Kα2).
No peak broadening, texture or thermal motion is included.

Top 10 peaks for 5 to 70 degrees two-theta, sorted by position:
Position (°2θ)  d [Å]  intensity
26.28  3.391  5
28.20  3.165  14
29.89  2.989  100
38.93  2.314  36
46.38  1.958  29
50.98  1.791  21
55.16  1.665  12
56.16  1.638  16
58.31  1.582  4
62.10  1.495  8

```
Ti2Te3
1.0
3.3910 1.9578 6.3299
-3.3910 1.9578 6.3299
0.0000 -3.9156 6.3299
Ti Te
4 6
Direct
0.0000 0.0000 0.0000
0.1598 0.1598 0.1598
0.5000 0.5000 0.5000
0.8402 0.8402 0.8402
0.0768 0.4257 0.7357
0.2643 0.9232 0.5743
0.4257 0.7357 0.0768
0.5743 0.2643 0.9232
0.7357 0.0768 0.4257
0.9232 0.5743 0.2643
```

Question: What is the formula in the second record?
Answer: Th7Te12